Record 1
Computed PXRD pattern of Y5Tm6Sc2 for Cu Ka, from the PBE geometry in Alexandria.

Cell and atoms:
```
data_Y5Tm6Sc2
_chemical_formula_sum 'Y10 Tm12 Sc4'
_cell_length_a 11.190
_cell_length_b 19.969
_cell_length_c 3.530
_cell_angle_alpha 90.00
_cell_angle_beta 90.00
_cell_angle_gamma 90.00
_symmetry_space_group_name_H-M 'P b a m'
_symmetry_Int_Tables_number 55
loop_
_symmetry_equiv_pos_as_xyz
'x,y,z'
'-x,-y,-z'
'-x,-y,z'
'x,y,-z'
'x+1/2,-y+1/2,-z'
'-x+1/2,y+1/2,z'
'-x+1/2,y+1/2,-z'
'x+1/2,-y+1/2,z'
loop_
_atom_site_label
_atom_site_type_symbol
_atom_site_fract_x
_atom_site_fract_y
_atom_site_fract_z
_atom_site_occupancy
Y1 Y 0.000 0.000 0.000 1
Y2 Y 0.064 0.422 0.000 1
Y3 Y 0.143 0.720 0.000 1
Tm1 Tm 0.082 0.155 0.000 1
Tm2 Tm 0.165 0.883 0.500 1
Tm3 Tm 0.219 0.556 0.500 1
Sc1 Sc 0.118 0.286 0.500 1
```

Peak list (8 most intense, 2θ from 10° to 80°, most intense first)
two_theta  I_rel  (hkl)
32.9  100  2 3 1
29.9  95  2 0 1
32.4  78  1 7 0
32.1  52  1 4 1
28.0  42  1 6 0
34.8  36  4 3 0
31.3  33  2 2 1
36.2  27  3 2 1

***

Record 2
Computed PXRD pattern of TbEuCuPt for Cu Ka, from the PBE geometry in Alexandria.

Cell and atoms:
```
data_TbEuCuPt
_chemical_formula_sum 'Tb4 Eu4 Cu4 Pt4'
_cell_length_a 7.085
_cell_length_b 7.085
_cell_length_c 7.085
_cell_angle_alpha 90.00
_cell_angle_beta 90.00
_cell_angle_gamma 90.00
_symmetry_space_group_name_H-M 'F -4 3 m'
_symmetry_Int_Tables_number 216
_symmetry_space_group_name_Hall 'F -4 2 3'
loop_
_atom_site_label
_atom_site_type_symbol
_atom_site_fract_x
_atom_site_fract_y
_atom_site_fract_z
_atom_site_occupancy
Tb1 Tb 0.000 0.000 0.000 1
Eu1 Eu 0.000 0.000 0.500 1
Cu1 Cu 0.250 0.250 0.750 1
Pt1 Pt 0.250 0.250 0.250 1
```

Peak list (8 most intense, 2θ from 10° to 80°, most intense first)
two_theta  I_rel  (hkl)
35.8  100  2 2 0
64.4  36  4 2 2
51.6  18  4 0 0
76.0  11  4 4 0
21.7  11  1 1 1
42.3  6  3 1 1
56.6  3  3 3 1
68.9  2  5 1 1

***

Record 3
Computed PXRD pattern of CsNdMg2Cl8 for Cu Ka, from the PBE geometry in Alexandria.

Cell and atoms:
```
data_CsNdMg2Cl8
_chemical_formula_sum 'Cs1 Nd1 Mg2 Cl8'
_cell_length_a 6.700
_cell_length_b 6.864
_cell_length_c 9.562
_cell_angle_alpha 72.00
_cell_angle_beta 74.16
_cell_angle_gamma 72.82
_symmetry_space_group_name_H-M 'P -1'
_symmetry_Int_Tables_number 2
loop_
_symmetry_equiv_pos_as_xyz
'x,y,z'
'-x,-y,-z'
loop_
_atom_site_label
_atom_site_type_symbol
_atom_site_fract_x
_atom_site_fract_y
_atom_site_fract_z
_atom_site_occupancy
Cs1 Cs 0.000 0.000 0.000 1
Nd1 Nd 0.000 0.000 0.500 1
Mg1 Mg 0.465 0.454 0.205 1
Cl1 Cl 0.182 0.704 0.733 1
Cl2 Cl 0.255 0.769 0.298 1
Cl3 Cl 0.292 0.235 0.439 1
Cl4 Cl 0.396 0.298 0.034 1
```

Peak list (8 most intense, 2θ from 10° to 80°, most intense first)
two_theta  I_rel  (hkl)
17.4  100  1 1 0
22.1  78  1 -1 0
21.3  50  0 1 2
13.9  49  0 1 0
29.5  48  -1 1 2
30.4  44  1 -1 2
40.5  42  1 2 -2
14.1  36  1 0 0

***

Record 4
Computed PXRD pattern of Fe2Pt8W for Cu Ka, from the PBE geometry in Alexandria.

Cell and atoms:
```
data_Fe2Pt8W
_chemical_formula_sum 'Fe4 Pt16 W2'
_cell_length_a 8.104
_cell_length_b 10.498
_cell_length_c 4.050
_cell_angle_alpha 90.00
_cell_angle_beta 90.00
_cell_angle_gamma 90.00
_symmetry_space_group_name_H-M 'C m m m'
_symmetry_Int_Tables_number 65
_symmetry_space_group_name_Hall '-C 2 2'
loop_
_atom_site_label
_atom_site_type_symbol
_atom_site_fract_x
_atom_site_fract_y
_atom_site_fract_z
_atom_site_occupancy
Fe1 Fe 0.000 0.113 0.000 1
Pt1 Pt 0.000 0.246 0.500 1
Pt2 Pt 0.167 0.000 0.500 1
Pt3 Pt 0.172 0.368 0.000 1
W1 W 0.000 0.500 0.500 1
```

Peak list (8 most intense, 2θ from 10° to 80°, most intense first)
two_theta  I_rel  (hkl)
41.0  100  0 4 1
41.1  71  3 1 1
42.3  39  3 3 0
44.8  35  0 0 2
31.2  26  2 0 1
63.2  24  3 3 2
35.7  20  2 2 1
76.3  16  3 7 1

***

Record 5
Computed PXRD pattern of ZnIn2Ag3 for Cu Ka, from the PBE geometry in Alexandria.

Cell and atoms:
```
data_ZnIn2Ag3
_chemical_formula_sum 'Zn4 In8 Ag12'
_cell_length_a 7.310
_cell_length_b 7.402
_cell_length_c 9.344
_cell_angle_alpha 90.00
_cell_angle_beta 110.73
_cell_angle_gamma 90.00
_symmetry_space_group_name_H-M 'C 1 2/c 1'
_symmetry_Int_Tables_number 15
loop_
_symmetry_equiv_pos_as_xyz
'x,y,z'
'-x,-y,-z'
'-x,y,-z+1/2'
'x,-y,z+1/2'
'x+1/2,y+1/2,z'
'-x+1/2,-y+1/2,-z'
'-x+1/2,y+1/2,-z+1/2'
'x+1/2,-y+1/2,z+1/2'
loop_
_atom_site_label
_atom_site_type_symbol
_atom_site_fract_x
_atom_site_fract_y
_atom_site_fract_z
_atom_site_occupancy
Zn1 Zn 0.000 0.039 0.250 1
In1 In 0.116 0.337 0.102 1
Ag1 Ag 0.000 0.332 0.750 1
Ag2 Ag 0.196 0.086 0.566 1
```

Peak list (8 most intense, 2θ from 10° to 80°, most intense first)
two_theta  I_rel  (hkl)
38.8  100  2 0 2
34.5  95  2 2 -1
39.4  83  0 2 3
31.2  42  1 1 -3
40.4  29  2 0 -4
39.1  28  3 1 -1
39.5  23  3 1 -2
60.3  20  3 3 -4

***

Record 6
Computed PXRD pattern of KSnI for Cu Ka, from the PBE geometry in Alexandria.

Cell and atoms:
```
data_KSnI
_chemical_formula_sum 'K4 Sn4 I4'
_cell_length_a 6.582
_cell_length_b 6.581
_cell_length_c 11.265
_cell_angle_alpha 90.00
_cell_angle_beta 93.55
_cell_angle_gamma 90.00
_symmetry_space_group_name_H-M 'C 1 2/m 1'
_symmetry_Int_Tables_number 12
loop_
_symmetry_equiv_pos_as_xyz
'x,y,z'
'-x,-y,-z'
'-x,y,-z'
'x,-y,z'
'x+1/2,y+1/2,z'
'-x+1/2,-y+1/2,-z'
'-x+1/2,y+1/2,-z'
'x+1/2,-y+1/2,z'
loop_
_atom_site_label
_atom_site_type_symbol
_atom_site_fract_x
_atom_site_fract_y
_atom_site_fract_z
_atom_site_occupancy
K1 K 0.229 0.000 0.320 1
Sn1 Sn 0.248 0.500 0.026 1
I1 I 0.232 0.500 0.348 1
```

Peak list (8 most intense, 2θ from 10° to 80°, most intense first)
two_theta  I_rel  (hkl)
27.1  100  0 2 0
23.7  62  0 0 3
36.3  40  0 2 3
38.7  38  2 2 0
63.2  21  2 4 0
35.2  20  2 0 -3
46.9  20  2 2 3
45.0  20  2 2 -3

***

Record 7
Computed PXRD pattern of PmPrTl for Cu Ka, from the PBE geometry in Alexandria.

Cell and atoms:
```
data_PmPrTl
_chemical_formula_sum 'Pm2 Pr2 Tl2'
_cell_length_a 5.5904
_cell_length_b 5.5904
_cell_length_c 6.9085
_cell_angle_alpha 90.00
_cell_angle_beta 90.00
_cell_angle_gamma 120.00
_symmetry_space_group_name_H-M 'P 63/m m c'
_symmetry_Int_Tables_number 194
_symmetry_space_group_name_Hall '-P 6c 2c'
loop_
_atom_site_label
_atom_site_type_symbol
_atom_site_fract_x
_atom_site_fract_y
_atom_site_fract_z
_atom_site_occupancy
Pm1 Pm 0.3333 0.6667 0.2500 1
Pr1 Pr 0.0000 0.0000 0.0000 1
Tl1 Tl 0.3333 0.6667 0.7500 1
```

Peak list (8 most intense, 2θ from 10° to 80°, most intense first)
two_theta  I_rel  (hkl)
32.0  100  1 1 0
31.8  85  1 0 2
56.9  33  2 1 2
45.8  31  2 0 2
63.3  29  1 1 4
57.1  20  3 0 0
41.6  17  1 1 2
76.0  14  3 1 2

***

Record 8
Computed PXRD pattern of Rb2VZnI6 for Cu Ka, from the PBE geometry in Alexandria.

Cell and atoms:
```
data_Rb2VZnI6
_chemical_formula_sum 'Rb4 V2 Zn2 I12'
_cell_length_a 8.169
_cell_length_b 8.169
_cell_length_c 11.484
_cell_angle_alpha 90.00
_cell_angle_beta 90.00
_cell_angle_gamma 90.00
_symmetry_space_group_name_H-M 'I 4/m m m'
_symmetry_Int_Tables_number 139
_symmetry_space_group_name_Hall '-I 4 2'
loop_
_atom_site_label
_atom_site_type_symbol
_atom_site_fract_x
_atom_site_fract_y
_atom_site_fract_z
_atom_site_occupancy
Rb1 Rb 0.000 0.500 0.250 1
V1 V 0.000 0.000 0.000 1
Zn1 Zn 0.000 0.000 0.500 1
I1 I 0.000 0.000 0.249 1
I2 I 0.247 0.247 0.000 1
```

Peak list (8 most intense, 2θ from 10° to 80°, most intense first)
two_theta  I_rel  (hkl)
26.8  100  2 0 2
31.0  58  2 2 0
44.5  42  2 2 4
52.6  30  4 2 2
31.2  29  0 0 4
55.2  22  4 0 4
44.4  21  4 0 0
15.4  18  1 1 0

***

Record 9
Computed PXRD pattern of ThTiCo2As2 for Cu Ka, from the PBE geometry in Alexandria.

Cell and atoms:
```
data_ThTiCo2As2
_chemical_formula_sum 'Th1 Ti1 Co2 As2'
_cell_length_a 4.0675
_cell_length_b 4.0675
_cell_length_c 6.9119
_cell_angle_alpha 90.00
_cell_angle_beta 90.00
_cell_angle_gamma 120.00
_symmetry_space_group_name_H-M 'P -3 m 1'
_symmetry_Int_Tables_number 164
_symmetry_space_group_name_Hall '-P 3 2"'
loop_
_atom_site_label
_atom_site_type_symbol
_atom_site_fract_x
_atom_site_fract_y
_atom_site_fract_z
_atom_site_occupancy
Th1 Th 0.0000 0.0000 0.0000 1
Ti1 Ti 0.0000 0.0000 0.5000 1
Co1 Co 0.3333 0.6667 0.6485 1
As1 As 0.3333 0.6667 0.2769 1
```

Peak list (8 most intense, 2θ from 10° to 80°, most intense first)
two_theta  I_rel  (hkl)
36.4  100  0 1 2
28.4  75  0 1 1
44.6  63  1 1 0
58.8  25  2 0 2
60.7  23  1 1 3
76.7  23  1 2 2
25.3  16  1 0 0
39.1  14  0 0 3